Structure and calculated powder diffractogram of Pr3SbO2 (a GGA-PBE-relaxed structure; Cu Kα (λ = 1.5418 Å)).
Intensities are scaled so that the largest is 100.

Top 10 peaks for 2θ from 5° to 70°, in order of falling intensity:
| d [Å] | I_rel | h k l |
| --- | --- | --- |
| 2.944 | 100.0 | 1 1 2 |
| 2.382 | 34.7 | 2 0 0 |
| 3.029 | 31.3 | 0 0 4 |
| 1.872 | 31.0 | 2 0 4 |
| 1.462 | 24.5 | 3 1 2 |
| 1.732 | 24.0 | 1 1 6 |
| 1.472 | 14.0 | 2 2 4 |
| 1.684 | 11.8 | 2 2 0 |
| 1.515 | 3.5 | 0 0 8 |
| 6.059 | 1.4 | 0 0 2 |

Cell and atoms:
a b c (Å): 4.763 4.763 12.117
angles (deg): 90.00 90.00 90.00
Sites, in units of the cell vectors:
Pr 0.000 0.000 0.000
Pr 0.000 0.500 0.250
Pr 0.000 0.500 0.750
Pr 0.500 0.000 0.250
Pr 0.500 0.000 0.750
Pr 0.500 0.500 0.500
Sb 0.000 0.000 0.500
Sb 0.500 0.500 0.000
O 0.000 0.000 0.201
O 0.000 0.000 0.799
O 0.500 0.500 0.299
O 0.500 0.500 0.701